The following is a calculated XRD peak list of Li9Mn7O16. It was derived from the PBE+U geometry in the Materials Project, using a wavelength of 1.5418 Å.

Largest 10 diffraction maxima, in order of rising 2θ, 2θ = 15–90°:
(2 0 -1), 2θ = 18.30°, I 100
(2 0 3), 2θ = 33.95°, I 18
(0 2 2), 2θ = 36.24°, I 24
(4 0 2), 2θ = 40.84°, I 36
(2 2 -3), 2θ = 44.23°, I 55
(4 2 0), 2θ = 46.92°, I 10
(4 2 -4), 2θ = 58.32°, I 9
(2 2 5), 2θ = 61.53°, I 17
(6 2 -1), 2θ = 62.00°, I 17
(0 4 0), 2θ = 64.85°, I 7

Atomic structure:
Cell lengths 10.5435, 5.7510, 9.8406 Å; angles 90.00, 96.34, 90.00 degrees
Space group C2/m (No. 12)
Asymmetric unit:
Li  0.0000  0.0000  0.0000
Li  0.0000  0.2500  0.5000
Li  0.1236  0.0000  0.7593
Li  0.1257  0.5000  0.7548
Li  0.2500  0.2500  0.0000
Mn  0.0000  0.5000  0.0000
Mn  0.1193  0.2483  0.2439
Mn  0.2500  0.0000  0.5002
O  0.0502  0.2613  0.8753
O  0.0637  0.0000  0.3629
O  0.0672  0.5000  0.3625
O  0.1843  0.0000  0.1395
O  0.1878  0.5000  0.1357
O  0.1969  0.2502  0.6165